Record 1
Simulated PXRD pattern of Ag2GeAu3 for copper Kα, from a DFT-relaxed cell (GGA-PBE, Alexandria).
Kinematic intensities with the Lorentz-polarization factor, no thermal factor.

Principal peaks in the range 2θ from 10° to 90°, in order of falling intensity:
two_theta	I (rel.)
38.45	100
39.00	91
39.17	89
37.54	73
38.14	54
38.35	52
37.82	26
55.11	24
27.52	21
38.75	20

```
Ag2GeAu3
1.0
4.682 0.000 0.000
0.050 5.864 0.000
0.042 0.248 7.943
Ag Ge Au
4 2 6
Cartesian
1.167 0.808 0.856
1.231 5.231 3.496
3.542 0.882 4.447
3.607 5.305 7.088
1.220 3.586 6.011
3.554 2.527 1.933
1.205 0.842 6.018
1.214 2.305 3.343
1.232 3.781 0.707
3.542 2.332 7.236
3.560 3.808 4.600
3.569 5.271 1.925
```



Record 2
Simulated PXRD pattern of Ag2GeAu7 for copper Kα, from a DFT-relaxed cell (GGA-PBE, Alexandria).
Kinematic intensities with the Lorentz-polarization factor, no thermal factor.

Principal peaks in the range 2θ from 10° to 90°, in order of falling intensity:
two_theta	I (rel.)
38.36	100
45.62	31
79.45	25
64.08	21
20.87	18
42.47	18
31.82	14
74.97	12
66.49	11
82.15	11

```
Ag2GeAu7
1.0
-1.989 1.989 12.770
1.989 -1.989 12.770
1.989 1.989 -12.770
Ag Ge Au
2 1 7
Cartesian
0.000 0.000 4.326
0.000 0.000 21.214
0.000 0.000 12.770
0.000 0.000 0.000
1.989 0.000 2.267
1.989 0.000 6.385
1.989 0.000 10.503
0.000 1.989 2.267
0.000 1.989 6.385
0.000 1.989 10.503
```



Record 3
Simulated PXRD pattern of AgGeAu4 for copper Kα, from a DFT-relaxed cell (GGA-PBE, Alexandria).
Kinematic intensities with the Lorentz-polarization factor, no thermal factor.

Principal peaks in the range 2θ from 10° to 90°, in order of falling intensity:
two_theta	I (rel.)
39.82	100
39.94	98
40.18	90
36.88	80
68.46	40
35.51	25
21.67	25
75.20	22
35.24	22
35.11	21

```
AgGeAu4
1.0
2.955 0.000 0.000
0.000 4.875 0.000
-1.446 0.000 7.584
Ag Ge Au
1 1 4
Cartesian
0.000 0.000 0.000
1.518 2.437 4.281
0.017 2.437 1.707
0.022 0.000 5.044
0.034 2.437 6.745
1.496 0.000 2.516
```



Record 4
Simulated PXRD pattern of Ag7GeAu3 for copper Kα, from a DFT-relaxed cell (GGA-PBE, Alexandria).
Kinematic intensities with the Lorentz-polarization factor, no thermal factor.

Principal peaks in the range 2θ from 10° to 90°, in order of falling intensity:
two_theta	I (rel.)
38.09	100
44.10	66
37.51	34
77.10	24
63.74	21
64.53	20
21.64	18
76.37	13
77.46	12
81.48	11

```
Ag7GeAu3
1.0
5.776 0.000 0.000
-2.888 5.002 0.000
0.000 0.000 7.193
Ag Ge Au
7 1 3
Cartesian
0.000 0.000 7.190
-1.437 2.505 0.000
0.000 1.680 2.417
-1.434 4.163 2.417
1.437 2.505 0.000
0.000 4.994 0.000
1.434 4.163 2.417
2.888 1.667 2.544
1.443 0.833 4.809
4.334 0.833 4.809
2.888 3.337 4.809
```



Record 5
Simulated PXRD pattern of Ag4GeAu4 for copper Kα, from a DFT-relaxed cell (GGA-PBE, Alexandria).
Kinematic intensities with the Lorentz-polarization factor, no thermal factor.

Principal peaks in the range 2θ from 10° to 90°, in order of falling intensity:
two_theta	I (rel.)
37.46	100
44.21	31
76.87	24
62.73	22
42.15	18
73.94	14
79.93	11
64.31	10
14.41	10
31.05	9

```
Ag4GeAu4
1.0
-4.345 4.345 2.144
4.345 -4.345 2.144
4.345 4.345 -2.144
Ag Ge Au
4 1 4
Cartesian
1.447 1.447 0.000
2.898 -2.898 2.144
-2.898 2.898 2.144
2.898 2.898 2.144
0.000 0.000 2.144
4.345 1.475 0.000
1.475 4.345 0.000
2.870 0.000 2.144
0.000 2.870 2.144
```



Record 6
Simulated PXRD pattern of Ag2GeIrAu for copper Kα, from a DFT-relaxed cell (GGA-PBE, Alexandria).
Kinematic intensities with the Lorentz-polarization factor, no thermal factor.

Principal peaks in the range 2θ from 10° to 90°, in order of falling intensity:
two_theta	I (rel.)
17.58	100
35.58	89
51.55	61
30.82	47
36.05	43
64.21	31
51.20	31
39.95	27
40.37	26
24.95	25

```
Ag2GeIrAu
1.0
5.046 0.000 0.000
0.000 5.046 0.000
0.000 0.000 4.983
Ag Ge Ir Au
2 1 1 1
Cartesian
0.000 2.523 0.000
2.523 0.000 0.000
0.000 0.000 2.491
2.523 2.523 2.491
2.523 2.523 0.000
```



Record 7
Simulated PXRD pattern of Nd2AgGe4Au3 for copper Kα, from a DFT-relaxed cell (GGA-PBE, Alexandria).
Kinematic intensities with the Lorentz-polarization factor, no thermal factor.

Principal peaks in the range 2θ from 10° to 90°, in order of falling intensity:
two_theta	I (rel.)
33.10	100
40.76	73
32.09	62
46.89	34
44.37	34
52.80	31
63.85	27
59.01	24
69.35	24
26.05	20

```
Nd2AgGe4Au3
1.0
4.427 0.000 0.000
0.000 4.427 0.000
0.000 0.000 10.774
Nd Ag Ge Au
2 1 4 3
Cartesian
0.000 2.214 2.649
2.214 0.000 8.125
2.214 2.214 0.000
0.000 0.000 5.387
0.000 2.214 9.325
2.214 0.000 1.449
2.214 2.214 5.387
0.000 0.000 0.000
0.000 2.214 6.825
2.214 0.000 3.949
```



Record 8
Simulated PXRD pattern of AgGeAu2Se4 for copper Kα, from a DFT-relaxed cell (GGA-PBE, Alexandria).
Kinematic intensities with the Lorentz-polarization factor, no thermal factor.

Principal peaks in the range 2θ from 10° to 90°, in order of falling intensity:
two_theta	I (rel.)
31.16	100
17.75	96
40.50	84
32.94	69
26.09	57
50.99	52
45.86	42
55.22	39
26.38	35
85.27	24

```
AgGeAu2Se4
1.0
-3.242 3.379 4.996
3.242 -3.379 4.996
3.242 3.379 -4.996
Ag Ge Au Se
1 1 2 4
Cartesian
0.000 0.000 0.000
0.000 3.379 0.000
3.242 1.859 0.000
0.000 1.519 4.996
1.249 1.894 -1.440
1.993 -1.485 6.436
1.993 1.485 3.556
1.249 4.863 1.440
```



Record 9
Simulated PXRD pattern of Th2AgGe4Au3 for copper Kα, from a DFT-relaxed cell (GGA-PBE, Alexandria).
Kinematic intensities with the Lorentz-polarization factor, no thermal factor.

Principal peaks in the range 2θ from 10° to 90°, in order of falling intensity:
two_theta	I (rel.)
33.23	100
31.98	64
41.15	61
46.51	36
53.04	31
63.82	29
69.97	24
28.78	21
59.60	21
26.07	16

```
Th2AgGe4Au3
1.0
4.388 0.000 0.000
0.000 4.388 0.000
0.000 0.000 10.901
Th Ag Ge Au
2 1 4 3
Cartesian
0.000 2.194 2.663
2.194 0.000 8.238
2.194 2.194 0.000
0.000 0.000 5.450
0.000 2.194 9.424
2.194 0.000 1.477
2.194 2.194 5.450
0.000 0.000 0.000
0.000 2.194 6.937
2.194 0.000 3.964
```



Record 10
Simulated PXRD pattern of K2AgH6Au2 for copper Kα, from a DFT-relaxed cell (GGA-PBE, Alexandria).
Kinematic intensities with the Lorentz-polarization factor, no thermal factor.

Principal peaks in the range 2θ from 10° to 90°, in order of falling intensity:
two_theta	I (rel.)
16.85	100
33.59	60
33.47	56
19.51	48
35.57	30
31.05	27
27.91	26
39.61	25
34.09	23
41.75	21

```
K2AgH6Au2
1.0
6.189 -2.524 0.000
6.189 2.524 0.000
-3.480 0.000 5.614
K Ag H Au
2 1 6 2
Cartesian
1.728 0.000 1.115
7.169 0.000 4.499
-1.740 0.000 2.807
3.110 1.238 3.233
0.792 0.000 5.474
5.788 1.238 2.381
3.110 -1.238 3.233
8.105 0.000 0.140
5.788 -1.238 2.381
5.185 0.000 1.266
3.713 0.000 4.348
```



Record 11
Simulated PXRD pattern of Hf2Ag3Au3 for copper Kα, from a DFT-relaxed cell (GGA-PBE, Alexandria).
Kinematic intensities with the Lorentz-polarization factor, no thermal factor.

Principal peaks in the range 2θ from 10° to 90°, in order of falling intensity:
two_theta	I (rel.)
39.29	100
39.67	58
36.45	46
33.77	35
41.01	35
22.59	21
71.73	18
71.00	15
63.41	15
57.06	13

```
Hf2Ag3Au3
1.0
3.935 2.272 2.822
-3.935 2.272 2.822
0.000 -4.544 2.822
Hf Ag Au
2 3 3
Cartesian
0.000 0.000 1.737
0.000 0.000 6.729
-1.902 0.000 4.233
0.951 -1.647 4.233
0.951 1.647 4.233
-1.137 -2.574 2.822
-1.661 2.272 2.822
2.798 0.302 2.822
```



Record 12
Simulated PXRD pattern of Hf4AgAu for copper Kα, from a DFT-relaxed cell (GGA-PBE, Alexandria).
Kinematic intensities with the Lorentz-polarization factor, no thermal factor.

Principal peaks in the range 2θ from 10° to 90°, in order of falling intensity:
two_theta	I (rel.)
35.86	100
39.50	39
69.29	30
61.96	20
57.10	13
45.70	13
76.02	11
78.04	10
85.04	4
41.26	1

```
Hf4AgAu
1.0
3.226 0.000 0.000
0.000 3.226 0.000
0.000 0.000 11.912
Hf Ag Au
4 1 1
Cartesian
0.000 0.000 1.927
0.000 0.000 9.985
1.613 1.613 3.973
1.613 1.613 7.939
0.000 0.000 5.956
1.613 1.613 0.000
```



Record 13
Simulated PXRD pattern of HfAgPtAu for copper Kα, from a DFT-relaxed cell (GGA-PBE, Alexandria).
Kinematic intensities with the Lorentz-polarization factor, no thermal factor.

Principal peaks in the range 2θ from 10° to 90°, in order of falling intensity:
two_theta	I (rel.)
38.61	100
69.87	35
55.75	17
82.79	11
27.04	3
23.36	2
63.03	1
45.62	1
47.77	1
89.07	1

```
HfAgPtAu
1.0
0.000 3.298 3.298
3.298 0.000 3.298
3.298 3.298 0.000
Hf Ag Pt Au
1 1 1 1
Cartesian
0.000 0.000 0.000
3.298 3.298 3.298
1.649 1.649 1.649
4.946 4.946 4.946
```



Record 14
Simulated PXRD pattern of Ag14HgAu for copper Kα, from a DFT-relaxed cell (GGA-PBE, Alexandria).
Kinematic intensities with the Lorentz-polarization factor, no thermal factor.

Principal peaks in the range 2θ from 10° to 90°, in order of falling intensity:
two_theta	I (rel.)
39.84	100
36.20	55
37.69	36
45.36	29
75.44	27
62.61	23
69.48	18
76.83	14
60.40	12
74.51	6

```
Ag14HgAu
1.0
9.547 0.000 0.000
0.000 2.969 5.138
0.000 -2.969 5.138
Ag Hg Au
14 1 1
Cartesian
0.000 0.000 10.272
0.000 0.000 5.138
0.000 -1.482 7.705
0.000 1.482 7.705
2.354 0.000 1.701
2.365 -1.493 4.289
2.365 1.493 4.289
2.381 0.000 6.848
4.774 -1.489 5.994
4.774 1.489 5.994
7.166 0.000 6.848
7.183 -1.493 4.289
7.183 1.493 4.289
7.194 0.000 1.701
4.774 0.000 3.422
4.774 0.000 8.567
```